Entry 1:
NaZrSi2O7: calculated powder diffraction line list (a wavelength of 1.5418 Å), based on a crystal structure in the Materials Project, relaxed with GGA-PBE.
Intensities are scaled so that the largest is 100.

Largest 6 diffraction maxima, by intensity, 10° ≤ 2θ ≤ 90°:
2theta, I/Imax, h k l
22.14, 100, 0 0 2
21.22, 95, 1 -1 0
13.85, 77, 0 1 1
20.92, 64, 1 1 0
29.54, 48, 1 2 1
32.81, 39, 2 0 0

Lattice parameters (Å, degrees): 5.4638 7.1390 8.6363 68.47 87.92 88.46
Space group P-1 (No. 2)
Inequivalent atoms, fractional coordinates:
Na (0.2320, 0.3099, 0.0707) x2
Zr (0.2379, 0.7070, 0.2364) x2
Si (0.2554, 0.6144, 0.6750) x2
Si (0.2878, 0.9604, 0.7955) x2
O (0.0186, 0.4570, 0.2459) x2
O (0.0902, 0.1460, 0.7418) x2
O (0.1798, 0.7979, 0.9729) x2
O (0.2801, 0.6097, 0.4880) x2
O (0.3003, 0.8485, 0.6592) x2
O (0.4351, 0.9736, 0.1853) x2
O (0.4585, 0.4679, 0.8014) x2

---

Entry 2:
Na2ZrSi2O7: calculated powder diffraction line list (a wavelength of 1.5418 Å), based on a crystal structure in the Materials Project, relaxed with GGA-PBE.
Intensities are scaled so that the largest is 100.

Largest 6 diffraction maxima, by intensity, 10° ≤ 2θ ≤ 90°:
2theta, I/Imax, h k l
22.05, 100, 1 -1 0
32.45, 76, 2 0 0
20.90, 68, 0 0 2
30.39, 55, 1 2 1
30.07, 52, 0 1 3
20.77, 48, 1 1 0

Lattice parameters (Å, degrees): 5.5300 6.6748 9.0002 70.85 87.69 86.01
Space group P-1 (No. 2)
Inequivalent atoms, fractional coordinates:
Na (0.2373, 0.3802, 0.1042) x2
Na (0.2604, 0.1578, 0.5090) x2
Zr (0.2772, 0.7901, 0.2716) x2
Si (0.1884, 0.5633, 0.6655) x2
Si (0.2728, 0.8533, 0.8543) x2
O (0.0365, 0.0091, 0.7853) x2
O (0.0936, 0.5046, 0.3235) x2
O (0.2178, 0.7793, 0.5140) x2
O (0.2206, 0.6169, 0.8344) x2
O (0.3167, 0.7872, 0.0420) x2
O (0.3896, 0.3756, 0.6652) x2
O (0.4762, 0.0677, 0.2448) x2

---

Entry 3:
Na5Zr2Si12O37: calculated powder diffraction line list (a wavelength of 1.5418 Å), based on a crystal structure in the Materials Project, relaxed with GGA-PBE.
Intensities are scaled so that the largest is 100.

Largest 6 diffraction maxima, by intensity, 10° ≤ 2θ ≤ 90°:
2theta, I/Imax, h k l
16.36, 100, 1 1 1
26.86, 73, 4 2 -2
11.76, 46, 2 0 0
26.07, 36, 0 2 2
48.37, 24, 4 4 -4
29.19, 24, 1 3 1

Lattice parameters (Å, degrees): 18.0861 10.4834 10.8182 90.00 123.59 90.00
Space group C2 (No. 5)
Inequivalent atoms, fractional coordinates:
Na (0.0000, 0.0000, 0.0000) x2
Na (0.2481, 0.2336, 0.9970) x4
Na (0.2489, 0.7353, 0.4980) x4
Zr (0.2488, 0.4938, 0.7492) x4
Si (0.1048, 0.2204, 0.5965) x4
Si (0.1047, 0.7199, 0.0963) x4
Si (0.1073, 0.2701, 0.0909) x4
Si (0.1073, 0.7698, 0.5912) x4
Si (0.1142, 0.9953, 0.4014) x4
Si (0.1148, 0.4959, 0.9002) x4
O (0.0000, 0.2482, 0.0000) x2
O (0.0000, 0.2592, 0.5000) x2
O (0.0000, 0.5062, 0.5000) x2
O (0.0000, 0.7544, 0.5000) x2
O (0.0000, 0.7619, 0.0000) x2
O (0.0170, 0.4867, 0.7408) x4
O (0.0213, 0.9896, 0.2390) x4
O (0.1215, 0.1192, 0.4992) x4
O (0.1209, 0.6194, 0.9976) x4
O (0.1292, 0.3666, 0.9961) x4
O (0.1307, 0.8665, 0.4987) x4
O (0.1366, 0.1646, 0.7590) x4
O (0.1365, 0.6643, 0.2587) x4
O (0.1514, 0.3161, 0.2611) x4
O (0.1517, 0.8146, 0.7623) x4
O (0.1551, 0.1338, 0.1074) x4
O (0.1573, 0.6356, 0.6072) x4
O (0.1618, 0.8484, 0.1203) x4
O (0.1650, 0.3455, 0.6222) x4
O (0.1949, 0.0052, 0.3762) x4
O (0.1960, 0.5060, 0.8776) x4

---

Entry 4:
NaSmO2: calculated powder diffraction line list (a wavelength of 1.5418 Å), based on a crystal structure in the Materials Project, relaxed with GGA-PBE.
Intensities are scaled so that the largest is 100.

Largest 6 diffraction maxima, by intensity, 10° ≤ 2θ ≤ 90°:
2theta, I/Imax, h k l
20.54, 100, 1 0 1
31.52, 81, 1 1 2
38.14, 51, 2 0 0
51.45, 38, 2 0 4
33.21, 34, 0 0 4
43.70, 28, 2 1 1

Lattice parameters (Å, degrees): 4.7191 4.7191 10.7920 90.00 90.00 90.00
Space group I4_1/amd (No. 141, origin choice 2)
Inequivalent atoms, fractional coordinates:
Na (0.0000, 0.2500, 0.3750) x4
Sm (0.0000, 0.2500, 0.8750) x4
O (0.0000, 0.2500, 0.0949) x8